Computed X-ray powder pattern
Compound: AcNd4Sm3
Radiation: Cu Kα, 1.54184 Å
Structure: a structure optimized by DFT (GGA-PBE)

Structure:
```
data_AcNd4Sm3
_cell_length_a 10.4333
_cell_length_b 7.4104
_cell_length_c 7.3983
_cell_angle_alpha 90.00
_cell_angle_beta 90.00
_cell_angle_gamma 90.00
_symmetry_space_group_name_H-M 'P m n a'
_symmetry_Int_Tables_number 53
loop_
_symmetry_equiv_pos_as_xyz
'x,y,z'
'-x,-y,-z'
'-x+1/2,-y,z+1/2'
'x+1/2,y,-z+1/2'
'x,-y,-z'
'-x,y,z'
'-x+1/2,y,-z+1/2'
'x+1/2,-y,z+1/2'
loop_
_atom_site_label
_atom_site_fract_x
_atom_site_fract_y
_atom_site_fract_z
Ac1 0.0000 0.0000 0.0000
Nd1 0.0000 0.0000 0.5000
Nd2 0.0000 0.5000 0.0000
Nd3 0.2500 0.2554 0.2500
Sm1 0.0000 0.5000 0.5000
Sm2 0.2500 0.2551 0.7500
```

Top 12 peaks for 10° ≤ 2θ ≤ 90°, most intense first:
- 29.59 deg, intensity 100, hkl 2 0 2
- 34.25 deg, intensity 34, hkl 0 2 2
- 58.49 deg, intensity 29, hkl 2 2 4
- 49.32 deg, intensity 24, hkl 4 2 2
- 34.38 deg, intensity 17, hkl 4 0 0
- 80.01 deg, intensity 15, hkl 2 0 6
- 58.66 deg, intensity 15, hkl 6 0 2
- 61.42 deg, intensity 13, hkl 4 0 4
- 49.22 deg, intensity 12, hkl 0 0 4
- 82.44 deg, intensity 8, hkl 0 2 6
- 82.66 deg, intensity 6, hkl 8 2 2
- 72.17 deg, intensity 4, hkl 0 4 4

Computed X-ray powder pattern
Compound: Y3Ge2Rh5
Radiation: Cu Kα, 1.54184 Å
Structure: a structure optimized by DFT (GGA-PBE)

Structure:
```
data_Y3Ge2Rh5
_cell_length_a 9.9862
_cell_length_b 9.9862
_cell_length_c 3.6693
_cell_angle_alpha 90.00
_cell_angle_beta 90.00
_cell_angle_gamma 90.00
_symmetry_space_group_name_H-M 'P 4/m b m'
_symmetry_Int_Tables_number 127
_symmetry_space_group_name_Hall '-P 4 2ab'
loop_
_atom_site_label
_atom_site_fract_x
_atom_site_fract_y
_atom_site_fract_z
Y1 0.0000 0.0000 0.0000
Y2 0.1734 0.3266 0.0000
Ge1 0.1231 0.6231 0.0000
Rh1 0.0000 0.5000 0.5000
Rh2 0.0700 0.7826 0.5000
```

Top 12 peaks for 10° ≤ 2θ ≤ 90°, most intense first:
- 37.58 deg, intensity 100, hkl 3 1 1
- 40.82 deg, intensity 46, hkl 3 2 1
- 37.12 deg, intensity 46, hkl 4 1 0
- 40.39 deg, intensity 25, hkl 4 2 0
- 35.28 deg, intensity 25, hkl 2 2 1
- 49.69 deg, intensity 24, hkl 0 0 2
- 63.63 deg, intensity 18, hkl 4 1 2
- 31.56 deg, intensity 18, hkl 2 1 1
- 43.86 deg, intensity 17, hkl 4 0 1
- 87.09 deg, intensity 13, hkl 5 5 2
- 64.97 deg, intensity 12, hkl 5 4 1
- 38.24 deg, intensity 12, hkl 3 3 0

Computed X-ray powder pattern
Compound: Tl3Sn2I7
Radiation: Cu Kα, 1.54184 Å
Structure: a structure optimized by DFT (GGA-PBE)

Structure:
```
data_Tl3Sn2I7
_cell_length_a 6.2649
_cell_length_b 6.2735
_cell_length_c 15.3185
_cell_angle_alpha 97.96
_cell_angle_beta 99.03
_cell_angle_gamma 92.38
_symmetry_space_group_name_H-M 'P -1'
_symmetry_Int_Tables_number 2
loop_
_symmetry_equiv_pos_as_xyz
'x,y,z'
'-x,-y,-z'
loop_
_atom_site_label
_atom_site_fract_x
_atom_site_fract_y
_atom_site_fract_z
Tl1 0.0000 0.0000 0.0000
Tl2 0.0946 0.0734 0.3571
Sn1 0.3836 0.3891 0.7907
I1 0.1066 0.6265 0.1928
I2 0.2690 0.2596 0.5837
I3 0.3544 0.9093 0.8130
I4 0.5000 0.5000 0.0000
```

Top 12 peaks for 10° ≤ 2θ ≤ 90°, most intense first:
- 28.54 deg, intensity 100, hkl 2 0 -1
- 29.86 deg, intensity 53, hkl 0 0 5
- 19.62 deg, intensity 32, hkl 1 -1 0
- 24.48 deg, intensity 30, hkl 1 1 -3
- 26.42 deg, intensity 29, hkl -1 1 3
- 39.86 deg, intensity 27, hkl 2 -2 0
- 42.68 deg, intensity 26, hkl 2 0 -6
- 26.78 deg, intensity 26, hkl 1 -1 3
- 14.62 deg, intensity 25, hkl 0 1 -1
- 43.08 deg, intensity 24, hkl 0 2 -6
- 37.75 deg, intensity 19, hkl 1 1 -6
- 26.28 deg, intensity 18, hkl 1 1 2

Computed X-ray powder pattern
Compound: Na2B3C
Radiation: Cu Kα, 1.54184 Å
Structure: a structure optimized by DFT (GGA-PBE)

Structure:
```
data_Na2B3C
_cell_length_a 2.7897
_cell_length_b 8.6546
_cell_length_c 5.2498
_cell_angle_alpha 90.00
_cell_angle_beta 90.00
_cell_angle_gamma 90.00
_symmetry_space_group_name_H-M 'P m m n'
_symmetry_Int_Tables_number 59
loop_
_symmetry_equiv_pos_as_xyz
'x,y,z'
'-x,-y,-z'
'-x+1/2,-y+1/2,z'
'x+1/2,y+1/2,-z'
'x+1/2,-y,-z'
'-x+1/2,y,z'
'-x,y+1/2,-z'
'x,-y+1/2,z'
loop_
_atom_site_label
_atom_site_fract_x
_atom_site_fract_y
_atom_site_fract_z
Na1 0.2500 0.0015 0.2478
B1 0.2500 0.2500 0.6151
B2 0.2500 0.7500 0.5996
B3 0.2500 0.7500 0.9301
C1 0.2500 0.2500 0.9126
```

Top 12 peaks for 10° ≤ 2θ ≤ 90°, most intense first:
- 42.21 deg, intensity 100, hkl 1 2 1
- 40.18 deg, intensity 50, hkl 0 2 2
- 41.75 deg, intensity 39, hkl 0 4 0
- 62.67 deg, intensity 18, hkl 1 0 3
- 78.16 deg, intensity 17, hkl 1 4 3
- 36.47 deg, intensity 16, hkl 1 0 1
- 76.54 deg, intensity 13, hkl 1 6 1
- 34.16 deg, intensity 13, hkl 0 0 2
- 81.19 deg, intensity 9, hkl 2 2 2
- 56.62 deg, intensity 9, hkl 1 4 1
- 82.23 deg, intensity 8, hkl 2 4 0
- 67.10 deg, intensity 7, hkl 2 0 0